Computed powder diffraction line list of Na4Cr2F9 for Cu Kα (weighted mean of Kα1 and Kα2), from the GGA+U geometry in Alexandria.
Lines closer than 0.1° are merged.

Structure:
```
data_Na4Cr2F9
_cell_length_a 5.560
_cell_length_b 5.659
_cell_length_c 14.886
_cell_angle_alpha 89.17
_cell_angle_beta 89.37
_cell_angle_gamma 61.54
_symmetry_space_group_name_H-M 'P 1'
_symmetry_Int_Tables_number 1
loop_
_symmetry_equiv_pos_as_xyz
'x,y,z'
loop_
_atom_site_label
_atom_site_fract_x
_atom_site_fract_y
_atom_site_fract_z
Na1 0.165 0.175 0.189
Na2 0.167 0.164 0.984
Na3 0.167 0.171 0.475
Na4 0.185 0.141 0.691
Na5 0.815 0.859 0.309
Na6 0.833 0.829 0.525
Na7 0.833 0.836 0.016
Na8 0.835 0.825 0.811
Cr1 0.487 0.495 0.861
Cr2 0.488 0.517 0.347
Cr3 0.512 0.483 0.653
Cr4 0.513 0.505 0.139
F1 0.152 0.845 0.900
F2 0.178 0.548 0.417
F3 0.208 0.477 0.080
F4 0.226 0.801 0.269
F5 0.229 0.796 0.590
F6 0.243 0.491 0.748
F7 0.457 0.261 0.267
F8 0.459 0.867 0.093
F9 0.460 0.216 0.587
F10 0.540 0.784 0.413
F11 0.541 0.133 0.907
F12 0.543 0.739 0.733
F13 0.757 0.509 0.252
F14 0.771 0.204 0.410
F15 0.774 0.199 0.731
F16 0.792 0.523 0.920
F17 0.822 0.452 0.583
F18 0.848 0.155 0.100
```

Most intense lines, 10° ≤ 2θ ≤ 80°, in order of rising 2θ:
| 2theta | d (Å) | I (rel.) |
| --- | --- | --- |
| 17.83 | 4.975 | 73 |
| 18.15 | 4.888 | 88 |
| 18.41 | 4.819 | 78 |
| 29.83 | 2.995 | 71 |
| 30.11 | 2.968 | 68 |
| 30.57 | 2.924 | 100 |
| 36.85 | 2.439 | 61 |
| 44.47 | 2.037 | 92 |
| 48.44 | 1.879 | 62 |
| 55.40 | 1.658 | 53 |

Computed powder diffraction line list of Na2ScCrF8 for Cu Kα (weighted mean of Kα1 and Kα2), from the GGA+U geometry in Alexandria.
Lines closer than 0.1° are merged.

Structure:
```
data_Na2ScCrF8
_cell_length_a 5.096
_cell_length_b 5.096
_cell_length_c 6.436
_cell_angle_alpha 90.00
_cell_angle_beta 90.00
_cell_angle_gamma 92.57
_symmetry_space_group_name_H-M 'P 1'
_symmetry_Int_Tables_number 1
loop_
_symmetry_equiv_pos_as_xyz
'x,y,z'
loop_
_atom_site_label
_atom_site_fract_x
_atom_site_fract_y
_atom_site_fract_z
Na1 0.000 0.000 0.244
Na2 0.000 0.000 0.756
Sc1 0.500 0.500 0.500
Cr1 0.500 0.500 0.000
F1 0.220 0.220 0.500
F2 0.229 0.229 0.000
F3 0.327 0.673 0.239
F4 0.327 0.673 0.761
F5 0.673 0.327 0.239
F6 0.673 0.327 0.761
F7 0.771 0.771 0.000
F8 0.780 0.780 0.500
```

Most intense lines, 10° ≤ 2θ ≤ 80°, in order of rising 2θ:
| 2theta | d (Å) | I (rel.) |
| --- | --- | --- |
| 17.42 | 5.090 | 78 |
| 24.17 | 3.683 | 100 |
| 25.29 | 3.521 | 61 |
| 32.93 | 2.720 | 50 |
| 37.10 | 2.423 | 55 |
| 40.32 | 2.237 | 21 |
| 48.39 | 1.881 | 71 |
| 49.64 | 1.837 | 32 |
| 51.93 | 1.761 | 25 |
| 61.81 | 1.501 | 44 |

Computed powder diffraction line list of NaSmCrF6 for Cu Kα (weighted mean of Kα1 and Kα2), from the GGA+U geometry in Alexandria.
Lines closer than 0.1° are merged.

Structure:
```
data_NaSmCrF6
_cell_length_a 5.874
_cell_length_b 5.874
_cell_length_c 9.406
_cell_angle_alpha 90.00
_cell_angle_beta 90.00
_cell_angle_gamma 120.00
_symmetry_space_group_name_H-M 'P 1'
_symmetry_Int_Tables_number 1
loop_
_symmetry_equiv_pos_as_xyz
'x,y,z'
loop_
_atom_site_label
_atom_site_fract_x
_atom_site_fract_y
_atom_site_fract_z
Na1 0.000 0.000 0.000
Na2 0.000 0.000 0.500
Sm1 0.333 0.667 0.250
Sm2 0.667 0.333 0.750
Cr1 0.333 0.667 0.750
Cr2 0.667 0.333 0.250
F1 0.016 0.358 0.633
F2 0.016 0.658 0.867
F3 0.342 0.358 0.867
F4 0.342 0.984 0.633
F5 0.358 0.016 0.133
F6 0.358 0.342 0.367
F7 0.642 0.658 0.633
F8 0.642 0.984 0.867
F9 0.658 0.016 0.367
F10 0.658 0.642 0.133
F11 0.984 0.342 0.133
F12 0.984 0.642 0.367
```

Most intense lines, 10° ≤ 2θ ≤ 80°, in order of rising 2θ:
| 2theta | d (Å) | I (rel.) |
| --- | --- | --- |
| 17.43 | 5.087 | 56 |
| 18.87 | 4.703 | 79 |
| 19.84 | 4.475 | 65 |
| 25.80 | 3.453 | 98 |
| 30.43 | 2.937 | 56 |
| 36.05 | 2.491 | 100 |
| 40.31 | 2.237 | 28 |
| 49.67 | 1.836 | 77 |
| 51.34 | 1.780 | 28 |
| 54.08 | 1.696 | 40 |

Computed powder diffraction line list of Na2TlCrF6 for Cu Kα (weighted mean of Kα1 and Kα2), from the GGA+U geometry in Alexandria.
Lines closer than 0.1° are merged.

Structure:
```
data_Na2TlCrF6
_cell_length_a 6.366
_cell_length_b 6.366
_cell_length_c 6.366
_cell_angle_alpha 60.00
_cell_angle_beta 60.00
_cell_angle_gamma 60.00
_symmetry_space_group_name_H-M 'P 1'
_symmetry_Int_Tables_number 1
loop_
_symmetry_equiv_pos_as_xyz
'x,y,z'
loop_
_atom_site_label
_atom_site_fract_x
_atom_site_fract_y
_atom_site_fract_z
Na1 0.250 0.250 0.250
Na2 0.750 0.750 0.750
Tl1 0.000 0.000 0.000
Cr1 0.500 0.500 0.500
F1 0.284 0.284 0.716
F2 0.284 0.716 0.284
F3 0.284 0.716 0.716
F4 0.716 0.284 0.284
F5 0.716 0.284 0.716
F6 0.716 0.716 0.284
```

Most intense lines, 10° ≤ 2θ ≤ 80°, in order of rising 2θ:
| 2theta | d (Å) | I (rel.) |
| --- | --- | --- |
| 17.06 | 5.198 | 38 |
| 19.72 | 4.501 | 100 |
| 28.03 | 3.183 | 99 |
| 33.00 | 2.714 | 41 |
| 40.06 | 2.251 | 43 |
| 43.83 | 2.065 | 28 |
| 45.03 | 2.013 | 41 |
| 49.61 | 1.838 | 38 |
| 57.95 | 1.592 | 25 |
| 79.70 | 1.203 | 22 |